# 1
Diffraction record for Pm4ThBi6. The powder diffractogram is theoretical, not measured: it uses DFT lattice parameters and positions (PBE) and Cu Kα, 1.54184 Å.
Neutral-atom scattering factors, no anomalous dispersion.

Crystal structure
a b c (Å): 8.094 8.094 21.686
angles (deg): 90.00 90.00 147.20
Sites, in units of the cell vectors:
1 Pm 0.093 0.907 0.630
2 Pm 0.093 0.907 0.870
3 Pm 0.359 0.641 0.540
4 Pm 0.359 0.641 0.960
5 Pm 0.641 0.359 0.040
6 Pm 0.641 0.359 0.460
7 Pm 0.907 0.093 0.130
8 Pm 0.907 0.093 0.370
9 Th 0.160 0.840 0.250
10 Th 0.840 0.160 0.750
11 Bi 0.000 0.000 0.000
12 Bi 0.000 0.000 0.500
13 Bi 0.198 0.802 0.750
14 Bi 0.265 0.735 0.095
15 Bi 0.265 0.735 0.405
16 Bi 0.459 0.541 0.675
17 Bi 0.459 0.541 0.825
18 Bi 0.541 0.459 0.175
19 Bi 0.541 0.459 0.325
20 Bi 0.735 0.265 0.595
21 Bi 0.735 0.265 0.905
22 Bi 0.802 0.198 0.250

Most intense lines, 2θ from 10° to 90°, by intensity:
| 2θ (°) | d (Å) | I (rel.) |
| --- | --- | --- |
| 27.27 | 3.271 | 100 |
| 28.84 | 3.096 | 28 |
| 39.07 | 2.306 | 23 |
| 39.43 | 2.286 | 22 |
| 38.79 | 2.321 | 21 |
| 26.33 | 3.384 | 21 |


# 2
Diffraction record for PmThBi3. The powder diffractogram is theoretical, not measured: it uses DFT lattice parameters and positions (PBE) and Cu Kα, 1.54184 Å.
Neutral-atom scattering factors, no anomalous dispersion.

Crystal structure
a b c (Å): 6.405 5.794 9.683
angles (deg): 90.00 90.00 90.00
Sites, in units of the cell vectors:
1 Pm 0.250 0.000 0.169
2 Pm 0.750 0.000 0.831
3 Th 0.250 0.500 0.637
4 Th 0.750 0.500 0.363
5 Bi 0.000 0.000 0.500
6 Bi 0.250 0.000 0.838
7 Bi 0.250 0.500 0.290
8 Bi 0.500 0.000 0.500
9 Bi 0.750 0.000 0.162
10 Bi 0.750 0.500 0.710

Most intense lines, 2θ from 10° to 90°, by intensity:
| 2θ (°) | d (Å) | I (rel.) |
| --- | --- | --- |
| 31.73 | 2.820 | 100 |
| 33.28 | 2.692 | 76 |
| 30.87 | 2.897 | 66 |
| 27.83 | 3.206 | 40 |
| 33.55 | 2.671 | 38 |
| 46.23 | 1.964 | 33 |


# 3
Diffraction record for PmTiBi. The powder diffractogram is theoretical, not measured: it uses DFT lattice parameters and positions (PBE) and Cu Kα, 1.54184 Å.
Neutral-atom scattering factors, no anomalous dispersion.

Crystal structure
a b c (Å): 6.375 6.375 6.375
angles (deg): 81.32 81.32 81.32
Sites, in units of the cell vectors:
1 Pm 0.000 0.366 0.634
2 Pm 0.366 0.634 0.000
3 Pm 0.634 0.000 0.366
4 Ti 0.100 0.100 0.100
5 Ti 0.499 0.499 0.499
6 Ti 0.902 0.902 0.902
7 Bi 0.152 0.848 0.500
8 Bi 0.500 0.152 0.848
9 Bi 0.848 0.500 0.152

Most intense lines, 2θ from 10° to 90°, by intensity:
| 2θ (°) | d (Å) | I (rel.) |
| --- | --- | --- |
| 30.26 | 2.953 | 100 |
| 37.50 | 2.398 | 45 |
| 48.93 | 1.862 | 24 |
| 21.39 | 4.154 | 24 |
| 63.23 | 1.471 | 19 |
| 58.42 | 1.580 | 18 |


# 4
Diffraction record for Pm4TlBi. The powder diffractogram is theoretical, not measured: it uses DFT lattice parameters and positions (PBE) and Cu Kα, 1.54184 Å.
Neutral-atom scattering factors, no anomalous dispersion.

Crystal structure
a b c (Å): 8.496 8.496 6.436
angles (deg): 102.43 102.43 115.45
Sites, in units of the cell vectors:
1 Pm 0.086 0.705 0.936
2 Pm 0.216 0.390 0.661
3 Pm 0.295 0.914 0.564
4 Pm 0.390 0.216 0.161
5 Pm 0.610 0.784 0.839
6 Pm 0.705 0.086 0.436
7 Pm 0.784 0.610 0.339
8 Pm 0.914 0.295 0.064
9 Tl 0.002 0.998 0.250
10 Tl 0.998 0.002 0.750
11 Bi 0.384 0.616 0.250
12 Bi 0.616 0.384 0.750

Most intense lines, 2θ from 10° to 90°, by intensity:
| 2θ (°) | d (Å) | I (rel.) |
| --- | --- | --- |
| 32.99 | 2.715 | 100 |
| 30.29 | 2.951 | 94 |
| 33.43 | 2.680 | 84 |
| 33.59 | 2.668 | 69 |
| 32.89 | 2.723 | 47 |
| 31.86 | 2.809 | 43 |


# 5
Diffraction record for Pm8TlBi5. The powder diffractogram is theoretical, not measured: it uses DFT lattice parameters and positions (PBE) and Cu Kα, 1.54184 Å.
Neutral-atom scattering factors, no anomalous dispersion.

Crystal structure
a b c (Å): 8.334 8.334 8.334
angles (deg): 109.60 109.60 109.22
Sites, in units of the cell vectors:
1 Pm 0.126 0.375 0.105
2 Pm 0.127 0.376 0.610
3 Pm 0.270 0.021 0.895
4 Pm 0.483 0.873 0.249
5 Pm 0.624 0.234 0.751
6 Pm 0.625 0.730 0.751
7 Pm 0.766 0.517 0.390
8 Pm 0.979 0.874 0.249
9 Tl 0.500 0.500 0.000
10 Bi 0.000 0.626 0.874
11 Bi 0.250 0.750 0.500
12 Bi 0.374 0.248 0.374
13 Bi 0.752 0.126 0.126
14 Bi 0.874 0.000 0.626

Most intense lines, 2θ from 10° to 90°, by intensity:
| 2θ (°) | d (Å) | I (rel.) |
| --- | --- | --- |
| 29.39 | 3.039 | 100 |
| 34.88 | 2.572 | 98 |
| 29.27 | 3.051 | 50 |
| 59.25 | 1.559 | 31 |
| 44.14 | 2.052 | 21 |
| 48.25 | 1.886 | 20 |


# 6
Diffraction record for Pm3TmBi4. The powder diffractogram is theoretical, not measured: it uses DFT lattice parameters and positions (PBE) and Cu Kα, 1.54184 Å.
Neutral-atom scattering factors, no anomalous dispersion.

Crystal structure
a b c (Å): 6.424 6.424 6.424
angles (deg): 90.00 90.00 90.00
Sites, in units of the cell vectors:
1 Pm 0.000 0.000 0.500
2 Pm 0.000 0.500 0.000
3 Pm 0.500 0.000 0.000
4 Tm 0.500 0.500 0.500
5 Bi 0.000 0.000 0.000
6 Bi 0.000 0.500 0.500
7 Bi 0.500 0.000 0.500
8 Bi 0.500 0.500 0.000

Most intense lines, 2θ from 10° to 90°, by intensity:
| 2θ (°) | d (Å) | I (rel.) |
| --- | --- | --- |
| 27.78 | 3.212 | 100 |
| 39.69 | 2.271 | 79 |
| 64.92 | 1.436 | 38 |
| 49.13 | 1.854 | 29 |
| 72.02 | 1.311 | 28 |
| 57.38 | 1.606 | 14 |


# 7
Diffraction record for Pm4TmBi5. The powder diffractogram is theoretical, not measured: it uses DFT lattice parameters and positions (PBE) and Cu Kα, 1.54184 Å.
Neutral-atom scattering factors, no anomalous dispersion.

Crystal structure
a b c (Å): 16.395 16.395 16.395
angles (deg): 164.04 164.04 22.65
Sites, in units of the cell vectors:
1 Pm 0.100 0.100 0.000
2 Pm 0.301 0.301 0.000
3 Pm 0.699 0.699 0.000
4 Pm 0.900 0.900 0.000
5 Tm 0.500 0.500 0.000
6 Bi 0.000 0.000 0.000
7 Bi 0.200 0.200 0.000
8 Bi 0.402 0.402 0.000
9 Bi 0.598 0.598 0.000
10 Bi 0.800 0.800 0.000

Most intense lines, 2θ from 10° to 90°, by intensity:
| 2θ (°) | d (Å) | I (rel.) |
| --- | --- | --- |
| 27.72 | 3.218 | 100 |
| 39.61 | 2.275 | 78 |
| 64.78 | 1.439 | 38 |
| 49.03 | 1.858 | 29 |
| 71.86 | 1.314 | 28 |
| 57.26 | 1.609 | 14 |


# 8
Diffraction record for Pm2TmBi3. The powder diffractogram is theoretical, not measured: it uses DFT lattice parameters and positions (PBE) and Cu Kα, 1.54184 Å.
Neutral-atom scattering factors, no anomalous dispersion.

Crystal structure
a b c (Å): 7.847 7.847 9.061
angles (deg): 106.79 106.79 48.23
Sites, in units of the cell vectors:
1 Pm 0.168 0.168 0.084
2 Pm 0.168 0.168 0.584
3 Pm 0.832 0.832 0.416
4 Pm 0.832 0.832 0.916
5 Tm 0.499 0.501 0.750
6 Tm 0.501 0.499 0.250
7 Bi 0.000 0.000 0.250
8 Bi 0.000 0.000 0.750
9 Bi 0.339 0.339 0.419
10 Bi 0.339 0.339 0.919
11 Bi 0.661 0.661 0.081
12 Bi 0.661 0.661 0.581

Most intense lines, 2θ from 10° to 90°, by intensity:
| 2θ (°) | d (Å) | I (rel.) |
| --- | --- | --- |
| 27.84 | 3.204 | 100 |
| 39.79 | 2.266 | 78 |
| 65.09 | 1.433 | 37 |
| 49.26 | 1.850 | 28 |
| 72.22 | 1.308 | 28 |
| 57.53 | 1.602 | 13 |


# 9
Diffraction record for Pm2TmBi3. The powder diffractogram is theoretical, not measured: it uses DFT lattice parameters and positions (PBE) and Cu Kα, 1.54184 Å.
Neutral-atom scattering factors, no anomalous dispersion.

Crystal structure
a b c (Å): 15.035 14.334 7.848
angles (deg): 79.50 69.62 30.88
Sites, in units of the cell vectors:
1 Pm 0.043 0.043 0.207
2 Pm 0.124 0.124 0.626
3 Pm 0.207 0.207 0.043
4 Pm 0.374 0.374 0.876
5 Pm 0.626 0.626 0.124
6 Pm 0.793 0.793 0.957
7 Pm 0.876 0.876 0.374
8 Pm 0.957 0.957 0.793
9 Tm 0.291 0.291 0.459
10 Tm 0.459 0.459 0.291
11 Tm 0.541 0.541 0.709
12 Tm 0.709 0.709 0.541
13 Bi 0.040 0.541 0.217
14 Bi 0.133 0.617 0.617
15 Bi 0.217 0.702 0.040
16 Bi 0.298 0.783 0.459
17 Bi 0.383 0.867 0.867
18 Bi 0.459 0.960 0.298
19 Bi 0.541 0.040 0.702
20 Bi 0.617 0.133 0.133
21 Bi 0.702 0.217 0.541
22 Bi 0.783 0.298 0.960
23 Bi 0.867 0.383 0.383
24 Bi 0.960 0.459 0.783

Most intense lines, 2θ from 10° to 90°, by intensity:
| 2θ (°) | d (Å) | I (rel.) |
| --- | --- | --- |
| 27.84 | 3.204 | 100 |
| 39.78 | 2.266 | 78 |
| 65.09 | 1.433 | 37 |
| 49.26 | 1.850 | 28 |
| 72.22 | 1.308 | 27 |
| 57.53 | 1.602 | 13 |


# 10
Diffraction record for PmVBi2. The powder diffractogram is theoretical, not measured: it uses DFT lattice parameters and positions (PBE) and Cu Kα, 1.54184 Å.
Neutral-atom scattering factors, no anomalous dispersion.

Crystal structure
a b c (Å): 5.079 5.079 4.201
angles (deg): 90.00 90.00 90.00
Sites, in units of the cell vectors:
1 Pm 0.000 0.000 0.000
2 V 0.500 0.500 0.000
3 Bi 0.000 0.500 0.500
4 Bi 0.500 0.000 0.500

Most intense lines, 2θ from 10° to 90°, by intensity:
| 2θ (°) | d (Å) | I (rel.) |
| --- | --- | --- |
| 32.81 | 2.730 | 100 |
| 35.34 | 2.540 | 41 |
| 61.84 | 1.500 | 33 |
| 56.88 | 1.619 | 21 |
| 50.84 | 1.796 | 15 |
| 24.79 | 3.592 | 12 |


# 11
Diffraction record for Pm4YBi5. The powder diffractogram is theoretical, not measured: it uses DFT lattice parameters and positions (PBE) and Cu Kα, 1.54184 Å.
Neutral-atom scattering factors, no anomalous dispersion.

Crystal structure
a b c (Å): 16.435 16.435 16.435
angles (deg): 164.04 164.04 22.64
Sites, in units of the cell vectors:
1 Pm 0.100 0.100 0.000
2 Pm 0.301 0.301 0.000
3 Pm 0.699 0.699 0.000
4 Pm 0.900 0.900 0.000
5 Y 0.500 0.500 0.000
6 Bi 0.000 0.000 0.000
7 Bi 0.200 0.200 0.000
8 Bi 0.401 0.401 0.000
9 Bi 0.599 0.599 0.000
10 Bi 0.800 0.800 0.000

Most intense lines, 2θ from 10° to 90°, by intensity:
| 2θ (°) | d (Å) | I (rel.) |
| --- | --- | --- |
| 27.66 | 3.225 | 100 |
| 39.52 | 2.281 | 78 |
| 48.91 | 1.862 | 29 |
| 71.68 | 1.317 | 28 |
| 64.60 | 1.443 | 25 |
| 57.12 | 1.613 | 14 |


# 12
Diffraction record for Pm5Y5Bi6. The powder diffractogram is theoretical, not measured: it uses DFT lattice parameters and positions (PBE) and Cu Kα, 1.54184 Å.
Neutral-atom scattering factors, no anomalous dispersion.

Crystal structure
a b c (Å): 6.460 9.359 9.359
angles (deg): 120.33 90.00 90.00
Sites, in units of the cell vectors:
1 Pm 0.000 0.000 0.000
2 Pm 0.250 0.578 0.909
3 Pm 0.250 0.909 0.578
4 Pm 0.750 0.578 0.909
5 Pm 0.750 0.909 0.578
6 Y 0.000 0.242 0.488
7 Y 0.000 0.488 0.242
8 Y 0.500 0.244 0.997
9 Y 0.500 0.484 0.484
10 Y 0.500 0.997 0.244
11 Bi 0.000 0.246 0.857
12 Bi 0.000 0.625 0.625
13 Bi 0.000 0.857 0.246
14 Bi 0.500 0.243 0.628
15 Bi 0.500 0.628 0.243
16 Bi 0.500 0.859 0.859

Most intense lines, 2θ from 10° to 90°, by intensity:
| 2θ (°) | d (Å) | I (rel.) |
| --- | --- | --- |
| 33.74 | 2.657 | 100 |
| 32.35 | 2.768 | 66 |
| 33.27 | 2.693 | 50 |
| 23.51 | 3.785 | 43 |
| 32.47 | 2.757 | 33 |
| 10.94 | 8.089 | 31 |


# 13
Diffraction record for PmYBi2. The powder diffractogram is theoretical, not measured: it uses DFT lattice parameters and positions (PBE) and Cu Kα, 1.54184 Å.
Neutral-atom scattering factors, no anomalous dispersion.

Crystal structure
a b c (Å): 4.534 4.534 7.842
angles (deg): 106.87 106.87 60.07
Sites, in units of the cell vectors:
1 Pm 0.000 0.000 0.000
2 Y 0.500 0.500 0.500
3 Bi 0.248 0.248 0.744
4 Bi 0.752 0.752 0.256

Most intense lines, 2θ from 10° to 90°, by intensity:
| 2θ (°) | d (Å) | I (rel.) |
| --- | --- | --- |
| 27.84 | 3.205 | 100 |
| 39.76 | 2.267 | 65 |
| 65.05 | 1.434 | 25 |
| 49.22 | 1.851 | 21 |
| 72.14 | 1.309 | 16 |
| 57.52 | 1.602 | 13 |